Structure and simulated powder diffractogram of Rb2HgRhCl6 (DFT lattice parameters and positions (GGA-PBE); Cu Kα X-rays).
Kinematic intensities with the Lorentz-polarization factor, no thermal factor.

Structure:
```
data_Rb2HgRhCl6
_space_group_name_H-M_alt 'I 4/m m m'
_space_group_IT_number 139
_space_group_name_Hall '-I 4 2'
_cell_length_a 7.2882
_cell_length_b 7.2882
_cell_length_c 10.3491
_cell_angle_alpha 90.00
_cell_angle_beta 90.00
_cell_angle_gamma 90.00
loop_
_atom_site_label
_atom_site_type_symbol
_atom_site_fract_x
_atom_site_fract_y
_atom_site_fract_z
_atom_site_occupancy
Rb1 Rb 0.0000 0.5000 0.2500 1
Hg1 Hg 0.0000 0.0000 0.0000 1
Rh1 Rh 0.0000 0.0000 0.5000 1
Cl1 Cl 0.0000 0.0000 0.2676 1
Cl2 Cl 0.2337 0.2337 0.5000 1
```

Top 10 peaks for 5 to 70 degrees two-theta, by angle:
d/Å  I_rel
5.161  302
3.649  1000
2.587  192
2.577  380
2.107  448
1.826  254
1.822  127
1.630  146
1.490  126
1.378  164

Structure and simulated powder diffractogram of Rb2ScHgCl6 (DFT lattice parameters and positions (GGA-PBE); Cu Kα X-rays).
Kinematic intensities with the Lorentz-polarization factor, no thermal factor.

Structure:
```
data_Rb2ScHgCl6
_space_group_name_H-M_alt 'P m m n'
_space_group_IT_number 59
_cell_length_a 7.5216
_cell_length_b 10.8131
_cell_length_c 7.8811
_cell_angle_alpha 90.00
_cell_angle_beta 90.00
_cell_angle_gamma 90.00
loop_
_space_group_symop_operation_xyz
'x,y,z'
'-x,-y,-z'
'-x+1/2,-y+1/2,z'
'x+1/2,y+1/2,-z'
'x+1/2,-y,-z'
'-x+1/2,y,z'
'-x,y+1/2,-z'
'x,-y+1/2,z'
loop_
_atom_site_label
_atom_site_type_symbol
_atom_site_fract_x
_atom_site_fract_y
_atom_site_fract_z
_atom_site_occupancy
Rb1 Rb 0.2500 0.0147 0.2208 1
Sc1 Sc 0.2500 0.7500 0.7692 1
Hg1 Hg 0.2500 0.2500 0.7249 1
Cl1 Cl 0.0109 0.7500 0.5501 1
Cl2 Cl 0.0165 0.7500 0.9971 1
Cl3 Cl 0.2500 0.5186 0.7754 1
```

Top 10 peaks for 5 to 70 degrees two-theta, by angle:
d/Å  I_rel
6.175  260
5.441  219
3.941  254
3.835  1000
3.761  247
2.721  629
2.703  333
2.254  190
2.185  219
1.918  401

Structure and simulated powder diffractogram of RbHg2Se2Cl (DFT lattice parameters and positions (GGA-PBE); Cu Kα X-rays).
Kinematic intensities with the Lorentz-polarization factor, no thermal factor.

Structure:
```
data_RbHg2Se2Cl
_space_group_name_H-M_alt 'P 1 21/m 1'
_space_group_IT_number 11
_space_group_name_Hall '-P 2yb'
_cell_length_a 7.0405
_cell_length_b 6.8833
_cell_length_c 10.3402
_cell_angle_alpha 90.00
_cell_angle_beta 101.16
_cell_angle_gamma 90.00
loop_
_atom_site_label
_atom_site_type_symbol
_atom_site_fract_x
_atom_site_fract_y
_atom_site_fract_z
_atom_site_occupancy
Rb1 Rb 0.1571 0.2500 0.1280 1
Hg1 Hg 0.2424 0.0026 0.6612 1
Se1 Se 0.2090 0.2500 0.4810 1
Se2 Se 0.3297 0.7500 0.8371 1
Cl1 Cl 0.0104 0.7500 0.1813 1
```

Top 10 peaks for 5 to 70 degrees two-theta, by angle:
d/Å  I_rel
10.145  708
6.306  1000
5.256  664
4.528  533
3.756  333
3.453  604
3.021  414
2.537  396
2.412  731
2.120  387

Structure and simulated powder diffractogram of Rb3SrHg2Cl9 (DFT lattice parameters and positions (GGA-PBE); Cu Kα X-rays).
Kinematic intensities with the Lorentz-polarization factor, no thermal factor.

Structure:
```
data_Rb3SrHg2Cl9
_space_group_name_H-M_alt 'P -3 m 1'
_space_group_IT_number 164
_space_group_name_Hall '-P 3 2"'
_cell_length_a 7.6732
_cell_length_b 7.6732
_cell_length_c 9.6877
_cell_angle_alpha 90.00
_cell_angle_beta 90.00
_cell_angle_gamma 120.00
loop_
_atom_site_label
_atom_site_type_symbol
_atom_site_fract_x
_atom_site_fract_y
_atom_site_fract_z
_atom_site_occupancy
Rb1 Rb 0.0000 0.0000 0.0000 1
Rb2 Rb 0.3333 0.6667 0.7158 1
Sr1 Sr 0.0000 0.0000 0.5000 1
Hg1 Hg 0.3333 0.6667 0.1641 1
Cl1 Cl 0.0000 0.5000 0.0000 1
Cl2 Cl 0.1673 0.3347 0.3169 1
```

Top 10 peaks for 5 to 70 degrees two-theta, by angle:
d/Å  I_rel
9.688  195
5.480  634
3.914  844
3.837  887
2.740  1000
2.471  225
2.230  394
2.215  212
1.957  314
1.918  361

Structure and simulated powder diffractogram of Rb3Tl3HgCl8 (DFT lattice parameters and positions (GGA-PBE); Cu Kα X-rays).
Kinematic intensities with the Lorentz-polarization factor, no thermal factor.

Structure:
```
data_Rb3Tl3HgCl8
_space_group_name_H-M_alt 'C 1 2/m 1'
_space_group_IT_number 12
_space_group_name_Hall '-C 2y'
_cell_length_a 15.8893
_cell_length_b 9.2618
_cell_length_c 9.1923
_cell_angle_alpha 90.00
_cell_angle_beta 124.82
_cell_angle_gamma 90.00
loop_
_atom_site_label
_atom_site_type_symbol
_atom_site_fract_x
_atom_site_fract_y
_atom_site_fract_z
_atom_site_occupancy
Rb1 Rb 0.0000 0.0000 0.0000 1
Rb2 Rb 0.2500 0.2500 0.5000 1
Tl1 Tl 0.0000 0.5000 0.5000 1
Tl2 Tl 0.2500 0.2500 0.0000 1
Hg1 Hg 0.0000 0.5000 0.0000 1
Cl1 Cl 0.0017 0.2898 0.7875 1
Cl2 Cl 0.2116 0.5000 0.2076 1
Cl3 Cl 0.2482 0.5000 0.7507 1
```

Top 10 peaks for 5 to 70 degrees two-theta, by angle:
d/Å  I_rel
7.550  532
3.937  177
3.775  498
3.741  160
3.262  1000
2.513  157
2.314  363
2.299  362
1.888  186
1.455  153

Structure and simulated powder diffractogram of Rb2Tl2HgCl6 (DFT lattice parameters and positions (GGA-PBE); Cu Kα X-rays).
Kinematic intensities with the Lorentz-polarization factor, no thermal factor.

Structure:
```
data_Rb2Tl2HgCl6
_space_group_name_H-M_alt 'C 1 2/m 1'
_space_group_IT_number 12
_space_group_name_Hall '-C 2y'
_cell_length_a 8.1723
_cell_length_b 13.1593
_cell_length_c 7.6982
_cell_angle_alpha 90.00
_cell_angle_beta 109.11
_cell_angle_gamma 90.00
loop_
_atom_site_label
_atom_site_type_symbol
_atom_site_fract_x
_atom_site_fract_y
_atom_site_fract_z
_atom_site_occupancy
Rb1 Rb 0.0000 0.1573 0.0000 1
Tl1 Tl 0.0000 0.3278 0.5000 1
Hg1 Hg 0.0000 0.5000 0.0000 1
Cl1 Cl 0.1966 0.5000 0.7577 1
Cl2 Cl 0.2076 0.3551 0.2156 1
```

Top 10 peaks for 5 to 70 degrees two-theta, by angle:
d/Å  I_rel
6.660  695
4.880  362
3.861  292
3.631  697
3.227  528
3.174  1000
2.313  372
2.299  192
2.215  355
1.931  197

Structure and simulated powder diffractogram of Hg4S12Cl (DFT lattice parameters and positions (GGA-PBE); Cu Kα X-rays).
Kinematic intensities with the Lorentz-polarization factor, no thermal factor.

Structure:
```
data_Hg4S12Cl
_space_group_name_H-M_alt 'P -1'
_space_group_IT_number 2
_space_group_name_Hall '-P 1'
_cell_length_a 5.5850
_cell_length_b 9.0916
_cell_length_c 10.5696
_cell_angle_alpha 78.17
_cell_angle_beta 74.86
_cell_angle_gamma 72.16
loop_
_atom_site_label
_atom_site_type_symbol
_atom_site_fract_x
_atom_site_fract_y
_atom_site_fract_z
_atom_site_occupancy
Hg1 Hg 0.0000 0.0000 0.0000 1
Hg2 Hg 0.0000 0.0000 0.5000 1
Hg3 Hg 0.0000 0.5000 0.0000 1
Hg4 Hg 0.0000 0.5000 0.5000 1
S1 S 0.1404 0.3235 0.3300 1
S2 S 0.1406 0.6278 0.7729 1
S3 S 0.4033 0.9860 0.8406 1
S4 S 0.4556 0.8535 0.4721 1
S5 S 0.4758 0.3134 0.6411 1
S6 S 0.4832 0.1871 0.8416 1
Cl1 Cl 0.5000 0.5000 0.0000 1
```

Top 10 peaks for 5 to 70 degrees two-theta, by angle:
d/Å  I_rel
5.194  704
5.054  1000
4.287  727
4.084  801
3.851  710
3.585  530
3.514  634
3.070  386
2.596  640
2.542  443

Structure and simulated powder diffractogram of HgS3Cl (DFT lattice parameters and positions (GGA-PBE); Cu Kα X-rays).
Kinematic intensities with the Lorentz-polarization factor, no thermal factor.

Structure:
```
data_HgS3Cl
_space_group_name_H-M_alt 'P 1'
_space_group_IT_number 1
_space_group_name_Hall 'P 1'
_cell_length_a 5.9105
_cell_length_b 7.0243
_cell_length_c 7.8085
_cell_angle_alpha 69.92
_cell_angle_beta 89.97
_cell_angle_gamma 89.60
loop_
_atom_site_label
_atom_site_type_symbol
_atom_site_fract_x
_atom_site_fract_y
_atom_site_fract_z
_atom_site_occupancy
Hg1 Hg 0.0000 0.0000 0.0000 1
Hg2 Hg 0.4994 0.1392 0.5678 1
S1 S 0.0386 0.3171 0.2457 1
S2 S 0.2102 0.4144 0.4218 1
S3 S 0.2672 0.2201 0.1008 1
S4 S 0.5409 0.8220 0.3229 1
S5 S 0.7124 0.7262 0.1451 1
S6 S 0.7689 0.9173 0.4682 1
Cl1 Cl 0.1937 0.8606 0.7706 1
Cl2 Cl 0.6917 0.2788 0.7969 1
```

Top 10 peaks for 5 to 70 degrees two-theta, by angle:
d/Å  I_rel
6.597  1000
6.044  314
4.602  893
3.452  434
3.433  427
3.201  351
2.693  233
2.261  226
2.116  210
1.953  157

Structure and simulated powder diffractogram of Hg2SCl8 (DFT lattice parameters and positions (GGA-PBE); Cu Kα X-rays).
Kinematic intensities with the Lorentz-polarization factor, no thermal factor.

Structure:
```
data_Hg2SCl8
_space_group_name_H-M_alt 'P 1'
_space_group_IT_number 1
_space_group_name_Hall 'P 1'
_cell_length_a 4.3195
_cell_length_b 8.6784
_cell_length_c 10.2077
_cell_angle_alpha 84.25
_cell_angle_beta 86.79
_cell_angle_gamma 86.18
loop_
_atom_site_label
_atom_site_type_symbol
_atom_site_fract_x
_atom_site_fract_y
_atom_site_fract_z
_atom_site_occupancy
Hg1 Hg 0.0000 0.0000 0.0000 1
Hg2 Hg 0.2457 0.2018 0.3273 1
S1 S 0.1869 0.6003 0.6536 1
Cl1 Cl 0.2084 0.6761 0.8606 1
Cl2 Cl 0.2689 0.5283 0.4428 1
Cl3 Cl 0.3359 0.8930 0.1610 1
Cl4 Cl 0.5797 0.0992 0.4905 1
Cl5 Cl 0.6638 0.1066 0.8392 1
Cl6 Cl 0.8846 0.7788 0.5935 1
Cl7 Cl 0.9112 0.3012 0.1629 1
Cl8 Cl 0.9365 0.4148 0.7178 1
```

Top 10 peaks for 5 to 70 degrees two-theta, by angle:
d/Å  I_rel
8.618  771
6.275  1000
4.569  427
4.305  302
4.112  204
3.894  273
3.573  435
3.453  358
2.837  256
2.514  303

Structure and simulated powder diffractogram of HgS5Cl (DFT lattice parameters and positions (GGA-PBE); Cu Kα X-rays).
Kinematic intensities with the Lorentz-polarization factor, no thermal factor.

Structure:
```
data_HgS5Cl
_space_group_name_H-M_alt 'C 1 2 1'
_space_group_IT_number 5
_space_group_name_Hall 'C 2y'
_cell_length_a 7.2796
_cell_length_b 18.9343
_cell_length_c 4.4662
_cell_angle_alpha 90.00
_cell_angle_beta 125.86
_cell_angle_gamma 90.00
loop_
_atom_site_label
_atom_site_type_symbol
_atom_site_fract_x
_atom_site_fract_y
_atom_site_fract_z
_atom_site_occupancy
Hg1 Hg 0.0000 0.0000 0.0000 1
S1 S 0.0000 0.2017 0.0000 1
S2 S 0.1106 0.5330 0.4405 1
S3 S 0.1229 0.2677 0.4518 1
Cl1 Cl 0.0000 0.9202 0.5000 1
```

Top 10 peaks for 5 to 70 degrees two-theta, by angle:
d/Å  I_rel
9.467  1000
5.632  715
4.734  638
4.345  499
4.310  437
3.644  276
3.503  169
2.888  347
2.816  383
2.379  171

Structure and simulated powder diffractogram of Sm3HgSCl (DFT lattice parameters and positions (GGA-PBE); Cu Kα X-rays).
Kinematic intensities with the Lorentz-polarization factor, no thermal factor.

Structure:
```
data_Sm3HgSCl
_space_group_name_H-M_alt 'P 1 21/m 1'
_space_group_IT_number 11
_space_group_name_Hall '-P 2yb'
_cell_length_a 7.8570
_cell_length_b 4.0383
_cell_length_c 10.7178
_cell_angle_alpha 90.00
_cell_angle_beta 107.90
_cell_angle_gamma 90.00
loop_
_atom_site_label
_atom_site_type_symbol
_atom_site_fract_x
_atom_site_fract_y
_atom_site_fract_z
_atom_site_occupancy
Sm1 Sm 0.1762 0.2500 0.1573 1
Sm2 Sm 0.2919 0.7500 0.5066 1
Sm3 Sm 0.3194 0.7500 0.8707 1
Hg1 Hg 0.4934 0.7500 0.2780 1
S1 S 0.0854 0.2500 0.8874 1
Cl1 Cl 0.0320 0.2500 0.3822 1
```

Top 10 peaks for 5 to 70 degrees two-theta, by angle:
d/Å  I_rel
7.477  656
3.212  1000
3.166  521
3.019  798
2.813  876
2.743  656
2.734  454
2.655  867
2.418  461
2.019  509

Structure and simulated powder diffractogram of Hg4Te2SCl (DFT lattice parameters and positions (GGA-PBE); Cu Kα X-rays).
Kinematic intensities with the Lorentz-polarization factor, no thermal factor.

Structure:
```
data_Hg4Te2SCl
_space_group_name_H-M_alt 'F m m 2'
_space_group_IT_number 42
_space_group_name_Hall 'F 2 -2'
_cell_length_a 9.3925
_cell_length_b 9.3980
_cell_length_c 12.5686
_cell_angle_alpha 90.00
_cell_angle_beta 90.00
_cell_angle_gamma 90.00
loop_
_atom_site_label
_atom_site_type_symbol
_atom_site_fract_x
_atom_site_fract_y
_atom_site_fract_z
_atom_site_occupancy
Hg1 Hg 0.0000 0.2261 0.0000 1
Hg2 Hg 0.2245 0.0000 0.2454 1
Te1 Te 0.2500 0.2500 0.3724 1
S1 S 0.0000 0.0000 0.1220 1
Cl1 Cl 0.0000 0.0000 0.6223 1
```

Top 10 peaks for 5 to 70 degrees two-theta, by angle:
d/Å  I_rel
3.763  1000
3.322  99
2.891  52
2.349  226
2.283  436
1.992  302
1.913  157
1.661  76
1.519  54
1.483  118

Structure and simulated powder diffractogram of Hg5SbCl2 (DFT lattice parameters and positions (GGA-PBE); Cu Kα X-rays).
Kinematic intensities with the Lorentz-polarization factor, no thermal factor.

Structure:
```
data_Hg5SbCl2
_space_group_name_H-M_alt 'C 1 m 1'
_space_group_IT_number 8
_space_group_name_Hall 'C -2y'
_cell_length_a 11.6209
_cell_length_b 7.2119
_cell_length_c 7.2126
_cell_angle_alpha 90.00
_cell_angle_beta 128.26
_cell_angle_gamma 90.00
loop_
_atom_site_label
_atom_site_type_symbol
_atom_site_fract_x
_atom_site_fract_y
_atom_site_fract_z
_atom_site_occupancy
Hg1 Hg 0.0000 0.0000 0.0000 1
Hg2 Hg 0.2220 0.2180 0.0049 1
Hg3 Hg 0.2218 0.2175 0.4401 1
Sb1 Sb 0.1983 0.5000 0.6988 1
Cl1 Cl 0.4367 0.0000 0.9384 1
Cl2 Cl 0.4366 0.5000 0.4367 1
```

Top 10 peaks for 5 to 70 degrees two-theta, by angle:
d/Å  I_rel
5.658  253
5.100  206
4.563  461
3.041  271
2.829  1000
2.550  562
2.325  247
2.281  235
2.213  236
1.700  317